This entry pairs a crystal structure of ThTcGe3 with its computed XRD peak list. Radiation: Cu Kα (weighted mean of Kα1 and Kα2). Structure: a GGA-PBE-relaxed structure.
Lines closer than 0.1° are merged.

a = 6.259 Å, b = 6.259 Å, c = 6.045 Å
α = 90.00°, β = 121.02°, γ = 90.00°
Element x y z (fractional)
Th (0.000, 0.000, 0.000)
Th (0.500, 0.500, 0.000)
Tc (0.331, 0.000, 0.663)
Tc (0.831, 0.500, 0.663)
Ge (0.062, 0.500, 0.123)
Ge (0.480, 0.250, 0.460)
Ge (0.480, 0.750, 0.460)
Ge (0.562, 0.000, 0.123)
Ge (0.980, 0.250, 0.460)
Ge (0.980, 0.750, 0.460)

Principal peaks in the range 2θ from 10° to 90°, sorted by position:
- 21.84 deg, I 281
- 28.52 deg, I 326
- 32.89 deg, I 669
- 33.45 deg, I 1000
- 34.63 deg, I 168
- 40.78 deg, I 617
- 48.50 deg, I 154
- 53.32 deg, I 260
- 59.03 deg, I 207
- 69.56 deg, I 182

***

This entry pairs a crystal structure of ThTc6Ge6 with its computed XRD peak list. Radiation: Cu Kα (weighted mean of Kα1 and Kα2). Structure: a GGA-PBE-relaxed structure.
Lines closer than 0.1° are merged.

a = 5.452 Å, b = 5.452 Å, c = 8.394 Å
α = 90.00°, β = 90.00°, γ = 120.00°
Element x y z (fractional)
Th (0.000, 0.000, 0.000)
Tc (0.000, 0.500, 0.252)
Tc (0.000, 0.500, 0.748)
Tc (0.500, 0.000, 0.252)
Tc (0.500, 0.000, 0.748)
Tc (0.500, 0.500, 0.252)
Tc (0.500, 0.500, 0.748)
Ge (0.000, 0.000, 0.352)
Ge (0.000, 0.000, 0.648)
Ge (0.333, 0.667, 0.000)
Ge (0.333, 0.667, 0.500)
Ge (0.667, 0.333, 0.000)
Ge (0.667, 0.333, 0.500)

Principal peaks in the range 2θ from 10° to 90°, sorted by position:
- 28.45 deg, I 272
- 32.86 deg, I 395
- 37.36 deg, I 313
- 38.12 deg, I 802
- 39.42 deg, I 1000
- 43.11 deg, I 276
- 44.01 deg, I 504
- 63.09 deg, I 248
- 68.90 deg, I 328
- 84.83 deg, I 230

***

This entry pairs a crystal structure of ThTcGe2 with its computed XRD peak list. Radiation: Cu Kα (weighted mean of Kα1 and Kα2). Structure: a GGA-PBE-relaxed structure.
Lines closer than 0.1° are merged.

a = 6.982 Å, b = 4.445 Å, c = 10.536 Å
α = 90.00°, β = 90.00°, γ = 90.00°
Element x y z (fractional)
Th (0.186, 0.250, 0.128)
Th (0.314, 0.750, 0.628)
Th (0.686, 0.250, 0.372)
Th (0.814, 0.750, 0.872)
Tc (0.016, 0.750, 0.391)
Tc (0.484, 0.250, 0.891)
Tc (0.516, 0.750, 0.109)
Tc (0.984, 0.250, 0.609)
Ge (0.127, 0.250, 0.821)
Ge (0.192, 0.250, 0.420)
Ge (0.308, 0.750, 0.920)
Ge (0.373, 0.750, 0.321)
Ge (0.627, 0.250, 0.679)
Ge (0.692, 0.250, 0.080)
Ge (0.808, 0.750, 0.580)
Ge (0.873, 0.750, 0.179)

Principal peaks in the range 2θ from 10° to 90°, sorted by position:
- 25.21 deg, I 616
- 29.24 deg, I 514
- 32.62 deg, I 932
- 33.74 deg, I 951
- 34.04 deg, I 773
- 35.01 deg, I 1000
- 40.60 deg, I 814
- 41.76 deg, I 811
- 53.99 deg, I 419
- 58.02 deg, I 366

***

This entry pairs a crystal structure of Ti3TcGe4 with its computed XRD peak list. Radiation: Cu Kα (weighted mean of Kα1 and Kα2). Structure: a GGA-PBE-relaxed structure.
Lines closer than 0.1° are merged.

a = 4.951 Å, b = 5.499 Å, c = 9.833 Å
α = 90.00°, β = 90.00°, γ = 90.00°
Element x y z (fractional)
Ti (0.250, 0.007, 0.202)
Ti (0.250, 0.493, 0.202)
Ti (0.250, 0.750, 0.692)
Ti (0.750, 0.250, 0.308)
Ti (0.750, 0.507, 0.798)
Ti (0.750, 0.993, 0.798)
Tc (0.250, 0.250, 0.706)
Tc (0.750, 0.750, 0.294)
Ge (0.250, 0.250, 0.440)
Ge (0.250, 0.506, 0.928)
Ge (0.250, 0.750, 0.425)
Ge (0.250, 0.994, 0.928)
Ge (0.750, 0.006, 0.072)
Ge (0.750, 0.250, 0.575)
Ge (0.750, 0.494, 0.072)
Ge (0.750, 0.750, 0.560)

Principal peaks in the range 2θ from 10° to 90°, sorted by position:
- 33.85 deg, I 745
- 36.29 deg, I 762
- 40.99 deg, I 1000
- 46.87 deg, I 929
- 50.47 deg, I 467
- 68.48 deg, I 201
- 72.80 deg, I 238
- 79.80 deg, I 139
- 82.77 deg, I 232
- 87.34 deg, I 186

***

This entry pairs a crystal structure of TlTcGe3 with its computed XRD peak list. Radiation: Cu Kα (weighted mean of Kα1 and Kα2). Structure: a GGA-PBE-relaxed structure.
Lines closer than 0.1° are merged.

a = 4.889 Å, b = 4.889 Å, c = 4.889 Å
α = 90.00°, β = 90.00°, γ = 90.00°
Element x y z (fractional)
Tl (0.000, 0.000, 0.000)
Tc (0.500, 0.500, 0.500)
Ge (0.000, 0.500, 0.500)
Ge (0.500, 0.000, 0.500)
Ge (0.500, 0.500, 0.000)

Principal peaks in the range 2θ from 10° to 90°, sorted by position:
- 25.77 deg, I 916
- 31.70 deg, I 754
- 36.77 deg, I 1000
- 45.44 deg, I 404
- 52.97 deg, I 697
- 59.82 deg, I 180
- 63.06 deg, I 318
- 66.22 deg, I 236
- 72.31 deg, I 206
- 89.69 deg, I 322

***

This entry pairs a crystal structure of TmTc6Ge8 with its computed XRD peak list. Radiation: Cu Kα (weighted mean of Kα1 and Kα2). Structure: a GGA-PBE-relaxed structure.
Lines closer than 0.1° are merged.

a = 6.513 Å, b = 6.513 Å, c = 6.513 Å
α = 84.32°, β = 84.32°, γ = 84.32°
Element x y z (fractional)
Tm (0.000, 0.000, 0.000)
Tc (0.226, 0.577, 0.417)
Tc (0.417, 0.226, 0.577)
Tc (0.423, 0.583, 0.774)
Tc (0.577, 0.417, 0.226)
Tc (0.583, 0.774, 0.423)
Tc (0.774, 0.423, 0.583)
Ge (0.088, 0.418, 0.780)
Ge (0.220, 0.912, 0.582)
Ge (0.235, 0.235, 0.235)
Ge (0.418, 0.780, 0.088)
Ge (0.582, 0.220, 0.912)
Ge (0.765, 0.765, 0.765)
Ge (0.780, 0.088, 0.418)
Ge (0.912, 0.582, 0.220)

Principal peaks in the range 2θ from 10° to 90°, sorted by position:
- 29.81 deg, I 322
- 32.10 deg, I 575
- 34.54 deg, I 570
- 35.57 deg, I 459
- 38.34 deg, I 409
- 43.10 deg, I 611
- 43.73 deg, I 399
- 44.00 deg, I 226
- 47.07 deg, I 1000
- 75.31 deg, I 258

***

This entry pairs a crystal structure of TmTcGe3 with its computed XRD peak list. Radiation: Cu Kα (weighted mean of Kα1 and Kα2). Structure: a GGA-PBE-relaxed structure.
Lines closer than 0.1° are merged.

a = 6.317 Å, b = 6.317 Å, c = 5.920 Å
α = 90.00°, β = 90.00°, γ = 127.64°
Element x y z (fractional)
Tm (0.099, 0.901, 0.750)
Tm (0.901, 0.099, 0.250)
Tc (0.500, 0.500, 0.000)
Tc (0.500, 0.500, 0.500)
Ge (0.107, 0.368, 0.750)
Ge (0.320, 0.680, 0.250)
Ge (0.368, 0.107, 0.250)
Ge (0.632, 0.893, 0.750)
Ge (0.680, 0.320, 0.750)
Ge (0.893, 0.632, 0.250)

Principal peaks in the range 2θ from 10° to 90°, sorted by position:
- 15.63 deg, I 175
- 30.19 deg, I 323
- 31.56 deg, I 127
- 32.37 deg, I 370
- 35.23 deg, I 453
- 39.10 deg, I 1000
- 43.06 deg, I 321
- 44.24 deg, I 413
- 59.69 deg, I 287
- 84.02 deg, I 136

***

This entry pairs a crystal structure of Tm2Tc3Ge4 with its computed XRD peak list. Radiation: Cu Kα (weighted mean of Kα1 and Kα2). Structure: a GGA-PBE-relaxed structure.
Lines closer than 0.1° are merged.

a = 6.917 Å, b = 6.898 Å, c = 6.876 Å
α = 90.00°, β = 110.25°, γ = 90.00°
Element x y z (fractional)
Tm (0.192, 0.170, 0.052)
Tm (0.192, 0.330, 0.552)
Tm (0.808, 0.670, 0.448)
Tm (0.808, 0.830, 0.948)
Tc (0.236, 0.645, 0.258)
Tc (0.236, 0.855, 0.758)
Tc (0.500, 0.000, 0.500)
Tc (0.500, 0.500, 0.000)
Tc (0.764, 0.145, 0.242)
Tc (0.764, 0.355, 0.742)
Ge (0.103, 0.552, 0.868)
Ge (0.103, 0.948, 0.368)
Ge (0.487, 0.646, 0.637)
Ge (0.487, 0.854, 0.137)
Ge (0.513, 0.146, 0.863)
Ge (0.513, 0.354, 0.363)
Ge (0.897, 0.052, 0.632)
Ge (0.897, 0.448, 0.132)

Principal peaks in the range 2θ from 10° to 90°, sorted by position:
- 30.39 deg, I 154
- 34.26 deg, I 454
- 34.55 deg, I 330
- 37.09 deg, I 1000
- 37.49 deg, I 836
- 41.51 deg, I 645
- 41.72 deg, I 793
- 53.57 deg, I 147
- 56.72 deg, I 144
- 60.04 deg, I 156

***

This entry pairs a crystal structure of U4Tc2Ge with its computed XRD peak list. Radiation: Cu Kα (weighted mean of Kα1 and Kα2). Structure: a GGA-PBE-relaxed structure.
Lines closer than 0.1° are merged.

a = 10.260 Å, b = 10.260 Å, c = 5.059 Å
α = 96.93°, β = 96.93°, γ = 29.60°
Element x y z (fractional)
U (0.072, 0.790, 0.713)
U (0.210, 0.928, 0.787)
U (0.240, 0.446, 0.194)
U (0.446, 0.240, 0.694)
U (0.554, 0.760, 0.306)
U (0.760, 0.554, 0.806)
U (0.790, 0.072, 0.213)
U (0.928, 0.210, 0.287)
Tc (0.124, 0.298, 0.305)
Tc (0.298, 0.124, 0.805)
Tc (0.702, 0.876, 0.195)
Tc (0.876, 0.702, 0.695)
Ge (0.355, 0.645, 0.250)
Ge (0.645, 0.355, 0.750)

Principal peaks in the range 2θ from 10° to 90°, sorted by position:
- 21.70 deg, I 176
- 27.01 deg, I 93
- 35.13 deg, I 111
- 35.78 deg, I 456
- 36.25 deg, I 436
- 38.75 deg, I 1000
- 42.42 deg, I 199
- 48.60 deg, I 76
- 48.72 deg, I 175
- 64.27 deg, I 88

***

This entry pairs a crystal structure of UTc4Ge4 with its computed XRD peak list. Radiation: Cu Kα (weighted mean of Kα1 and Kα2). Structure: a GGA-PBE-relaxed structure.
Lines closer than 0.1° are merged.

a = 6.256 Å, b = 6.256 Å, c = 8.012 Å
α = 90.00°, β = 90.00°, γ = 90.00°
Element x y z (fractional)
U (0.250, 0.750, 0.250)
U (0.750, 0.250, 0.750)
Tc (0.007, 0.750, 0.617)
Tc (0.250, 0.507, 0.883)
Tc (0.250, 0.993, 0.883)
Tc (0.493, 0.750, 0.617)
Tc (0.507, 0.250, 0.383)
Tc (0.750, 0.007, 0.117)
Tc (0.750, 0.493, 0.117)
Tc (0.993, 0.250, 0.383)
Ge (0.052, 0.250, 0.077)
Ge (0.250, 0.052, 0.577)
Ge (0.250, 0.448, 0.577)
Ge (0.448, 0.250, 0.077)
Ge (0.552, 0.750, 0.923)
Ge (0.750, 0.552, 0.423)
Ge (0.750, 0.948, 0.423)
Ge (0.948, 0.750, 0.923)

Principal peaks in the range 2θ from 10° to 90°, sorted by position:
- 30.09 deg, I 284
- 33.94 deg, I 1000
- 36.58 deg, I 537
- 46.92 deg, I 176
- 54.08 deg, I 201
- 55.94 deg, I 262
- 59.06 deg, I 178
- 62.56 deg, I 223
- 71.48 deg, I 141
- 85.75 deg, I 145

***

This entry pairs a crystal structure of UVTcGe with its computed XRD peak list. Radiation: Cu Kα (weighted mean of Kα1 and Kα2). Structure: a GGA-PBE-relaxed structure.
Lines closer than 0.1° are merged.

a = 6.423 Å, b = 6.423 Å, c = 6.423 Å
α = 90.00°, β = 90.00°, γ = 90.00°
Element x y z (fractional)
U (0.000, 0.000, 0.000)
U (0.000, 0.500, 0.500)
U (0.500, 0.000, 0.500)
U (0.500, 0.500, 0.000)
V (0.250, 0.250, 0.250)
V (0.250, 0.750, 0.750)
V (0.750, 0.250, 0.750)
V (0.750, 0.750, 0.250)
Tc (0.250, 0.250, 0.750)
Tc (0.250, 0.750, 0.250)
Tc (0.750, 0.250, 0.250)
Tc (0.750, 0.750, 0.750)
Ge (0.000, 0.000, 0.500)
Ge (0.000, 0.500, 0.000)
Ge (0.500, 0.000, 0.000)
Ge (0.500, 0.500, 0.500)

Principal peaks in the range 2θ from 10° to 90°, sorted by position:
- 24.00 deg, I 296
- 27.78 deg, I 138
- 39.69 deg, I 1000
- 46.92 deg, I 160
- 57.38 deg, I 169
- 63.09 deg, I 70
- 64.93 deg, I 61
- 72.03 deg, I 346
- 77.17 deg, I 56
- 85.52 deg, I 113

***

This entry pairs a crystal structure of V3Tc4Ge with its computed XRD peak list. Radiation: Cu Kα (weighted mean of Kα1 and Kα2). Structure: a GGA-PBE-relaxed structure.
Lines closer than 0.1° are merged.

a = 3.049 Å, b = 4.254 Å, c = 8.599 Å
α = 90.00°, β = 90.00°, γ = 90.00°
Element x y z (fractional)
V (0.000, 0.000, 0.000)
V (0.000, 0.500, 0.250)
V (0.000, 0.500, 0.750)
Tc (0.500, 0.000, 0.245)
Tc (0.500, 0.000, 0.755)
Tc (0.500, 0.500, 0.000)
Tc (0.500, 0.500, 0.500)
Ge (0.000, 0.000, 0.500)

Principal peaks in the range 2θ from 10° to 90°, sorted by position:
- 29.29 deg, I 43
- 29.54 deg, I 83
- 42.07 deg, I 1000
- 42.50 deg, I 195
- 60.75 deg, I 65
- 61.31 deg, I 125
- 76.62 deg, I 63
- 76.83 deg, I 124
- 76.95 deg, I 63
- 77.49 deg, I 123